The following is a calculated X-ray powder pattern of NbCoAs. It was derived from the PBE geometry in Alexandria, using Cu Kα (λ = 1.5418 Å).
Peak positions follow from Bragg's law for the DFT cell and can differ from measured ones.

Cell and atoms:
```
NbCoAs
1.0
6.317 0.000 0.000
0.000 3.759 0.000
0.000 0.000 7.168
Nb Co As
4 4 4
Cartesian
0.154 0.940 1.232 Nb
3.005 2.819 4.816 Nb
3.312 0.940 2.352 Nb
6.164 2.819 5.936 Nb
0.948 0.940 4.036 Co
2.210 2.819 0.452 Co
4.107 0.940 6.716 Co
5.369 2.819 3.132 Co
1.396 2.819 2.712 As
1.762 0.940 6.297 As
4.555 2.819 0.872 As
4.921 0.940 4.456 As
```

Most intense lines, 2θ from 10° to 90°, sorted by position:
hkl 1 1 2, 2θ = 37.5°, I 85; hkl 2 1 1, 2θ = 39.3°, I 100; hkl 1 0 3, 2θ = 40.4°, I 24; hkl 0 1 3, 2θ = 44.9°, I 55; hkl 1 1 3, 2θ = 47.3°, I 21; hkl 0 2 0, 2θ = 48.4°, I 39; hkl 3 0 2, 2θ = 50.3°, I 17; hkl 3 1 4, 2θ = 73.9°, I 15